Calculated PXRD pattern
Compound: RhAuSe2
Radiation: CuKα
Structure: a crystal structure in Alexandria, relaxed with PBE
No peak broadening, texture or thermal motion is included.

Cell and atoms:
a = 3.6712 Å, b = 3.6712 Å, c = 7.1735 Å
α = 90.00°, β = 90.00°, γ = 120.00°
Fractional coordinates of all 4 atoms:
Rh 0.0000 0.0000 0.0000
Au 0.3333 0.6667 0.4806
Se 0.3333 0.6667 0.8264
Se 0.6667 0.3333 0.2055

Largest 12 diffraction maxima, by angle, 15 to 90 degrees two-theta:
24.82 deg, I = 16; 28.07 deg, I = 32; 30.76 deg, I = 100; 37.81 deg, I = 50; 47.58 deg, I = 52; 49.67 deg, I = 42; 56.30 deg, I = 11; 59.57 deg, I = 15; 64.07 deg, I = 11; 71.23 deg, I = 16; 73.88 deg, I = 11; 81.15 deg, I = 13